# Y2CoNi4Ge3
Calculated PXRD pattern, copper Kα. Input: the PBE geometry in Alexandria.
Intensities are scaled so that the largest is 1000.

The 6 most intense peaks (2θ from 10° to 90°), low angle first:
2θ 35.44, I = 648; 2θ 36.59, I = 1000; 2θ 45.17, I = 662; 2θ 49.15, I = 256; 2θ 51.95, I = 270; 2θ 58.69, I = 287

Cell lengths 4.0151, 4.0151, 9.7910 Å; angles 90.00, 90.00, 90.00 degrees
Positions (direct):
Y1 0.0000 0.5000 0.2466
Y2 0.5000 0.0000 0.7534
Co1 0.5000 0.5000 0.0000
Ni1 0.0000 0.0000 0.5000
Ni2 0.0000 0.5000 0.8719
Ni3 0.5000 0.0000 0.1281
Ni4 0.5000 0.5000 0.5000
Ge1 0.0000 0.0000 0.0000
Ge2 0.0000 0.5000 0.6319
Ge3 0.5000 0.0000 0.3681

=====

# Cs2NpBr5Cl
Calculated PXRD pattern, copper Kα. Input: the PBE geometry in Alexandria.
Intensities are scaled so that the largest is 1000.

The 6 most intense peaks (2θ from 10° to 90°), low angle first:
2θ 13.51, I = 1000; 2θ 22.16, I = 908; 2θ 27.22, I = 724; 2θ 31.44, I = 946; 2θ 31.71, I = 459; 2θ 45.26, I = 672

Cell lengths 8.0153, 8.0153, 8.0153 Å; angles 119.72, 119.72, 90.48 degrees
Positions (direct):
Cs1 0.0000 0.5000 0.5000
Cs2 0.5000 0.0000 0.5000
Np1 0.2487 0.2487 0.0000
Br1 0.0062 0.0062 0.5116
Br2 0.0062 0.4945 0.0000
Br3 0.4945 0.0062 0.0000
Br4 0.4947 0.4947 0.0000
Br5 0.4945 0.4945 0.4884
Cl1 0.0188 0.0188 0.0000